Structure and computed powder diffraction line list of KBaNa2Ti3FeSi4O18 (a GGA+U-relaxed structure; λ = 1.5418 Å (Cu Kα)).
Lines closer than 0.1° are merged.

Top 10 peaks for 15° ≤ 2θ ≤ 90°, by angle:
| hkl | 2theta | intensity |
| --- | --- | --- |
| 1 1 2 | 23.5 | 54 |
| 0 1 3 | 25.0 | 45 |
| 1 1 -1 | 25.5 | 51 |
| 0 0 3 | 26.1 | 43 |
| 1 -1 2 | 28.7 | 46 |
| -1 1 3 | 31.5 | 31 |
| 1 2 0 | 31.9 | 100 |
| 2 0 1 | 33.6 | 34 |
| 1 -2 1 | 33.9 | 30 |
| 0 4 2 | 51.2 | 27 |

Crystal structure
a = 5.3951 Å, b = 7.1349 Å, c = 10.9147 Å
α = 71.03°, β = 83.89°, γ = 89.98°
Fractional coordinates of all 30 atoms:
K  0.0000  0.0000  0.0000
Ba  0.5205  0.5631  0.8798
Na  0.2629  0.2908  0.4341
Na  0.7626  0.5517  0.4350
Ti  0.2634  0.7913  0.4350
Ti  0.5595  0.1381  0.7197
Ti  0.9613  0.4172  0.1539
Fe  0.7606  0.0143  0.4371
Si  0.0518  0.8699  0.7139
Si  0.0658  0.4368  0.7063
Si  0.4540  0.7064  0.1645
Si  0.4732  0.1414  0.1574
O  0.0449  0.6204  0.7716
O  0.0622  0.9524  0.5551
O  0.1084  0.5321  0.5481
O  0.2175  0.6355  0.1060
O  0.2370  0.2706  0.0987
O  0.2920  0.9308  0.7736
O  0.3037  0.3119  0.7655
O  0.4144  0.6436  0.3236
O  0.4628  0.0655  0.3172
O  0.4765  0.9516  0.1011
O  0.5355  0.7899  0.5304
O  0.6049  0.1947  0.5517
O  0.7141  0.6268  0.1116
O  0.7332  0.2697  0.0877
O  0.7889  0.9242  0.7830
O  0.7993  0.3149  0.7584
O  0.9143  0.3071  0.3224
O  0.9865  0.8806  0.3468